Record 1
For Pr5AgSe8, DFT lattice parameters and positions (GGA-PBE) gives the simulated powder diffractogram in this record (Cu Ka).
Kinematic intensities with the Lorentz-polarization factor, no thermal factor.

Peak list (8 most intense, 2θ from 10° to 90°, in order of rising 2θ)
Position (°2θ)  intensity
24.30  22
31.18  48
31.59  100
37.23  34
37.44  29
37.56  29
47.35  17
64.09  21

Crystal structure
```
data_Pr5AgSe8
_space_group_name_H-M_alt 'I -4'
_space_group_IT_number 82
_cell_length_a 8.9497
_cell_length_b 8.9497
_cell_length_c 9.0856
_cell_angle_alpha 90.00
_cell_angle_beta 90.00
_cell_angle_gamma 90.00
loop_
_space_group_symop_operation_xyz
'x,y,z'
'y,-x,-z'
'-x,-y,z'
'-y,x,-z'
'x+1/2,y+1/2,z+1/2'
'y+1/2,-x+1/2,-z+1/2'
'-x+1/2,-y+1/2,z+1/2'
'-y+1/2,x+1/2,-z+1/2'
loop_
_atom_site_label
_atom_site_fract_x
_atom_site_fract_y
_atom_site_fract_z
Pr1 0.0000 0.0000 0.0000
Pr2 0.1297 0.7514 0.6187
Ag1 0.0000 0.5000 0.2500
Se1 0.0695 0.8191 0.2951
Se2 0.0776 0.6808 0.9362
```

=====

Record 2
For Y2Er3Zn3, DFT lattice parameters and positions (GGA-PBE) gives the simulated powder diffractogram in this record (Cu Ka).
Kinematic intensities with the Lorentz-polarization factor, no thermal factor.

Peak list (8 most intense, 2θ from 10° to 90°, in order of rising 2θ)
Position (°2θ)  intensity
25.13  10
27.16  17
33.56  21
34.80  100
34.97  27
49.25  14
62.62  18
63.18  9

Crystal structure
```
data_Y2Er3Zn3
_space_group_name_H-M_alt 'I m m m'
_space_group_IT_number 71
_space_group_name_Hall '-I 2 2'
_cell_length_a 3.5932
_cell_length_b 5.1311
_cell_length_c 21.3650
_cell_angle_alpha 90.00
_cell_angle_beta 90.00
_cell_angle_gamma 90.00
loop_
_atom_site_label
_atom_site_fract_x
_atom_site_fract_y
_atom_site_fract_z
Y1 0.0000 0.0000 0.2277
Er1 0.0000 0.0000 0.0000
Er2 0.0000 0.5000 0.1172
Zn1 0.0000 0.0000 0.5000
Zn2 0.0000 0.5000 0.3861
```

=====

Record 3
For GePN, DFT lattice parameters and positions (GGA-PBE) gives the simulated powder diffractogram in this record (Cu Ka).
Kinematic intensities with the Lorentz-polarization factor, no thermal factor.

Peak list (8 most intense, 2θ from 10° to 90°, in order of rising 2θ)
Position (°2θ)  intensity
14.33  69
28.90  90
32.38  62
32.53  56
36.26  100
47.01  32
47.11  34
56.13  37

Crystal structure
```
data_GePN
_space_group_name_H-M_alt 'P 1 m 1'
_space_group_IT_number 6
_cell_length_a 2.8303
_cell_length_b 2.7040
_cell_length_c 6.3256
_cell_angle_alpha 90.00
_cell_angle_beta 102.36
_cell_angle_gamma 90.00
loop_
_space_group_symop_operation_xyz
'x,y,z'
'x,-y,z'
loop_
_atom_site_label
_atom_site_fract_x
_atom_site_fract_y
_atom_site_fract_z
Ge1 0.0000 0.0000 0.0000
P1 0.7648 0.5000 0.5080
N1 0.8448 0.0000 0.6747
```

=====

Repeat the second record exactly.
For Y2Er3Zn3, DFT lattice parameters and positions (GGA-PBE) gives the simulated powder diffractogram in this record (Cu Ka).
Kinematic intensities with the Lorentz-polarization factor, no thermal factor.

Peak list (8 most intense, 2θ from 10° to 90°, in order of rising 2θ)
Position (°2θ)  intensity
25.13  10
27.16  17
33.56  21
34.80  100
34.97  27
49.25  14
62.62  18
63.18  9

Crystal structure
```
data_Y2Er3Zn3
_space_group_name_H-M_alt 'I m m m'
_space_group_IT_number 71
_space_group_name_Hall '-I 2 2'
_cell_length_a 3.5932
_cell_length_b 5.1311
_cell_length_c 21.3650
_cell_angle_alpha 90.00
_cell_angle_beta 90.00
_cell_angle_gamma 90.00
loop_
_atom_site_label
_atom_site_fract_x
_atom_site_fract_y
_atom_site_fract_z
Y1 0.0000 0.0000 0.2277
Er1 0.0000 0.0000 0.0000
Er2 0.0000 0.5000 0.1172
Zn1 0.0000 0.0000 0.5000
Zn2 0.0000 0.5000 0.3861
```

=====

Copy entry 1 word for word.
For Pr5AgSe8, DFT lattice parameters and positions (GGA-PBE) gives the simulated powder diffractogram in this record (Cu Ka).
Kinematic intensities with the Lorentz-polarization factor, no thermal factor.

Peak list (8 most intense, 2θ from 10° to 90°, in order of rising 2θ)
Position (°2θ)  intensity
24.30  22
31.18  48
31.59  100
37.23  34
37.44  29
37.56  29
47.35  17
64.09  21

Crystal structure
```
data_Pr5AgSe8
_space_group_name_H-M_alt 'I -4'
_space_group_IT_number 82
_cell_length_a 8.9497
_cell_length_b 8.9497
_cell_length_c 9.0856
_cell_angle_alpha 90.00
_cell_angle_beta 90.00
_cell_angle_gamma 90.00
loop_
_space_group_symop_operation_xyz
'x,y,z'
'y,-x,-z'
'-x,-y,z'
'-y,x,-z'
'x+1/2,y+1/2,z+1/2'
'y+1/2,-x+1/2,-z+1/2'
'-x+1/2,-y+1/2,z+1/2'
'-y+1/2,x+1/2,-z+1/2'
loop_
_atom_site_label
_atom_site_fract_x
_atom_site_fract_y
_atom_site_fract_z
Pr1 0.0000 0.0000 0.0000
Pr2 0.1297 0.7514 0.6187
Ag1 0.0000 0.5000 0.2500
Se1 0.0695 0.8191 0.2951
Se2 0.0776 0.6808 0.9362
```

=====

Repeat the third record exactly.
For GePN, DFT lattice parameters and positions (GGA-PBE) gives the simulated powder diffractogram in this record (Cu Ka).
Kinematic intensities with the Lorentz-polarization factor, no thermal factor.

Peak list (8 most intense, 2θ from 10° to 90°, in order of rising 2θ)
Position (°2θ)  intensity
14.33  69
28.90  90
32.38  62
32.53  56
36.26  100
47.01  32
47.11  34
56.13  37

Crystal structure
```
data_GePN
_space_group_name_H-M_alt 'P 1 m 1'
_space_group_IT_number 6
_cell_length_a 2.8303
_cell_length_b 2.7040
_cell_length_c 6.3256
_cell_angle_alpha 90.00
_cell_angle_beta 102.36
_cell_angle_gamma 90.00
loop_
_space_group_symop_operation_xyz
'x,y,z'
'x,-y,z'
loop_
_atom_site_label
_atom_site_fract_x
_atom_site_fract_y
_atom_site_fract_z
Ge1 0.0000 0.0000 0.0000
P1 0.7648 0.5000 0.5080
N1 0.8448 0.0000 0.6747
```